Entry 1:
Computed PXRD pattern of NpS2BrO8 for Cu Kα (weighted mean of Kα1 and Kα2), from DFT lattice parameters and positions (PBE).

Main lines, by angle (2θ = 10–80°):
d (Å)	I/Imax	hkl
6.011	26	0 0 1
5.217	100	1 0 0
3.940	58	1 0 1
3.011	76	1 1 0
2.605	78	1 0 2
2.127	26	1 1 2
1.971	55	2 0 2
1.873	25	2 1 1
1.649	31	2 1 2
1.506	20	2 2 0

a = 6.0236 Å, b = 6.0236 Å, c = 6.0109 Å
α = 90.00°, β = 90.00°, γ = 120.00°
Space group P-3m1 (No. 164)
Unique sites:
1 Np 0.0000 0.0000 0.0000
2 S 0.3333 0.6667 0.7664
3 Br 0.0000 0.0000 0.5000
4 O 0.2006 0.4011 0.8628
5 O 0.3333 0.6667 0.5280


Entry 2:
Computed PXRD pattern of YZrIr for Cu Kα (weighted mean of Kα1 and Kα2), from DFT lattice parameters and positions (PBE).

Main lines, by angle (2θ = 10–80°):
d (Å)	I/Imax	hkl
5.637	100	2 0 -1
2.832	61	1 1 1
2.675	55	3 1 -1
2.634	37	1 1 -2
2.506	67	3 1 -2
2.438	75	3 1 0
2.427	47	4 0 0
2.385	37	4 0 -3
2.162	67	1 1 2
1.854	57	0 2 0

a = 11.602 Å, b = 3.709 Å, c = 7.723 Å
α = 90.00°, β = 123.21°, γ = 90.00°
Space group Cm (No. 8)
Unique sites:
1 Y 0.000 0.000 0.000
2 Y 0.244 0.000 0.548
3 Zr 0.170 0.500 0.849
4 Zr 0.416 0.000 0.299
5 Ir 0.216 0.500 0.233
6 Ir 0.487 0.500 0.607


Entry 3:
Computed PXRD pattern of NdYF6 for Cu Kα (weighted mean of Kα1 and Kα2), from DFT lattice parameters and positions (PBE).

Main lines, by angle (2θ = 10–80°):
d (Å)	I/Imax	hkl
4.160	76	1 1 0
3.638	100	1 1 -1
3.246	82	1 1 1
3.155	56	0 2 1
2.314	32	1 1 2
2.215	40	1 3 0
2.044	38	2 2 -1
1.905	29	1 1 -3
1.897	28	2 2 1
1.769	41	0 2 3

a = 5.084 Å, b = 7.402 Å, c = 6.104 Å
α = 90.00°, β = 98.44°, γ = 90.00°
Space group C2 (No. 5)
Unique sites:
1 Nd 0.000 0.000 0.000
2 Y 0.000 0.317 0.500
3 F 0.218 0.389 0.226
4 F 0.221 0.058 0.372
5 F 0.246 0.741 0.169


Entry 4:
Computed PXRD pattern of KCu2Cl3 for Cu Kα (weighted mean of Kα1 and Kα2), from DFT lattice parameters and positions (PBE).

Main lines, by angle (2θ = 10–80°):
d (Å)	I/Imax	hkl
6.639	100	0 0 1
3.882	15	4 0 1
3.515	68	3 1 0
3.445	20	1 1 -1
2.967	17	6 0 1
2.584	17	5 1 1
2.350	27	5 1 -2
2.069	27	9 1 0
2.010	25	0 2 0
1.883	16	5 1 -3

a = 22.087 Å, b = 4.019 Å, c = 6.746 Å
α = 90.00°, β = 100.20°, γ = 90.00°
Space group C2/m (No. 12)
Unique sites:
1 K 0.133 0.000 0.448
2 Cu 0.054 0.500 0.955
3 Cu 0.214 0.000 0.014
4 Cl 0.037 0.500 0.285
5 Cl 0.109 0.000 0.901
6 Cl 0.230 0.500 0.245


Entry 5:
Computed PXRD pattern of CuMo2Ir for Cu Kα (weighted mean of Kα1 and Kα2), from DFT lattice parameters and positions (PBE).

Main lines, by angle (2θ = 10–80°):
d (Å)	I/Imax	hkl
3.820	14	1 0 0
2.759	12	1 0 1
2.236	100	1 1 1
1.994	18	0 0 2
1.910	31	2 0 0
1.768	4	1 0 2
1.708	3	2 1 0
1.570	5	2 1 1
1.379	21	2 0 2
1.350	10	2 2 0

a = 3.820 Å, b = 3.820 Å, c = 3.988 Å
α = 90.00°, β = 90.00°, γ = 90.00°
Space group P4/mmm (No. 123)
Unique sites:
1 Cu 0.000 0.000 0.000
2 Mo 0.000 0.500 0.500
3 Ir 0.500 0.500 0.000


Entry 6:
Computed PXRD pattern of Mg5In12Sn2 for Cu Kα (weighted mean of Kα1 and Kα2), from DFT lattice parameters and positions (PBE).

Main lines, by angle (2θ = 10–80°):
d (Å)	I/Imax	hkl
5.327	14	1 1 1
4.796	22	0 2 0
2.671	94	2 2 -2
2.659	100	4 2 1
2.398	34	0 4 0
2.267	59	2 0 3
1.647	39	2 4 3
1.430	26	4 6 1
1.376	23	8 2 -3
1.371	22	10 2 0

a = 14.307 Å, b = 9.591 Å, c = 7.182 Å
α = 90.00°, β = 90.30°, γ = 90.00°
Space group C2/m (No. 12)
Unique sites:
1 Mg 0.000 0.000 0.000
2 Mg 0.151 0.500 0.402
3 Mg 0.243 0.000 0.003
4 In 0.053 0.500 0.788
5 In 0.104 0.264 0.098
6 In 0.146 0.000 0.386
7 In 0.198 0.235 0.700
8 Sn 0.000 0.236 0.500